1.
For Ba2Cd6Rh3, DFT lattice parameters and positions (PBE) gives the computed PXRD pattern in this record (Cu Kα (weighted mean of Kα1 and Kα2)).

Largest 8 diffraction maxima, sorted by position, 2θ = 10–80°:
2θ 28.9, I 1000
2θ 32.4, I 248
2θ 36.9, I 410
2θ 38.2, I 845
2θ 39.9, I 340
2θ 44.7, I 147
2θ 55.5, I 246
2θ 61.7, I 275

Structure:
```
Ba2Cd6Rh3
1.0
8.434 0.000 0.000
-4.217 7.304 0.000
0.000 0.000 4.523
Ba Cd Rh
2 6 3
Cartesian
0.000 4.869 0.000
4.217 2.435 0.000
-0.849 1.471 0.000
-2.989 5.177 2.262
1.699 0.000 0.000
1.228 2.128 2.262
5.977 0.000 2.262
3.368 5.833 0.000
-1.590 2.754 2.262
3.180 0.000 2.262
2.627 4.550 2.262
```

---

2.
For BaCd2Rh2, DFT lattice parameters and positions (PBE) gives the computed PXRD pattern in this record (Cu Kα (weighted mean of Kα1 and Kα2)).

Largest 8 diffraction maxima, sorted by position, 2θ = 10–80°:
2θ 31.2, I 860
2θ 31.9, I 1000
2θ 36.9, I 999
2θ 44.0, I 316
2θ 49.5, I 567
2θ 53.1, I 340
2θ 60.4, I 305
2θ 62.9, I 226

Structure:
```
BaCd2Rh2
1.0
4.878 0.000 0.000
0.000 4.878 0.000
0.000 0.000 10.270
Ba Cd Rh
2 4 4
Cartesian
0.000 0.000 0.000
2.439 2.439 5.135
0.000 0.000 3.696
0.000 0.000 6.574
2.439 2.439 1.439
2.439 2.439 8.832
0.000 2.439 2.568
0.000 2.439 7.703
2.439 0.000 2.568
2.439 0.000 7.703
```